This entry pairs a crystal structure of K7HgBr2O2 with its simulated powder diffractogram. Radiation: CuKα. Structure: the PBE geometry in Alexandria.
Lines closer than 0.1° are merged.

Crystal structure
a = 4.808 Å, b = 25.983 Å, c = 6.955 Å
α = 90.00°, β = 90.00°, γ = 90.00°
Space group Imm2 (No. 44)
Symmetry-distinct sites (fractional):
K  0.000  0.000  0.000 x2
K  0.000  0.096  0.595 x4
K  0.000  0.206  0.928 x4
K  0.000  0.387  0.595 x4
Hg  0.000  0.500  0.939 x2
Br  0.000  0.210  0.417 x4
O  0.000  0.104  0.948 x4

Largest 8 diffraction maxima, sorted by position, 2θ = 10–80°:
21.14°, d 4.203, rel. 75; 21.34°, d 4.163, rel. 51; 23.51°, d 3.783, rel. 100; 26.38°, d 3.378, rel. 65; 29.13°, d 3.066, rel. 53; 30.42°, d 2.938, rel. 63; 30.61°, d 2.920, rel. 56; 33.44°, d 2.679, rel. 63